No. 1
# PrNd2Cd4In2
Computed X-ray diffraction stick pattern, Cu Kα. Input: a structure optimized by DFT (GGA-PBE).

Crystal structure
```
data_PrNd2Cd4In2
_space_group_name_H-M_alt 'A m m 2'
_space_group_IT_number 38
_space_group_name_Hall 'A 2 -2'
_cell_length_a 4.7218
_cell_length_b 13.2872
_cell_length_c 7.6562
_cell_angle_alpha 90.00
_cell_angle_beta 90.00
_cell_angle_gamma 90.00
loop_
_atom_site_label
_atom_site_type_symbol
_atom_site_fract_x
_atom_site_fract_y
_atom_site_fract_z
Pr1 Pr 0.0000 0.0000 0.0000
Nd1 Nd 0.0000 0.2110 0.6328
Cd1 Cd 0.0000 0.0000 0.4235
Cd2 Cd 0.5000 0.0000 0.6621
Cd3 Cd 0.5000 0.1200 0.3023
In1 In 0.5000 0.1673 0.9218
```

Main lines, most intense first (2θ = 5–70°):
2theta	I_rel	h k l
33.0	100	1 2 2
30.0	79	1 0 2
35.8	43	0 5 1
38.1	34	2 0 0
40.7	31	0 6 0
53.3	27	2 5 1
64.3	19	1 8 2
53.4	17	1 2 4
57.1	14	2 3 3
65.7	13	3 2 2

No. 2
# Nd2TmCd4In2
Computed X-ray diffraction stick pattern, Cu Kα. Input: a structure optimized by DFT (GGA-PBE).

Crystal structure
```
data_Nd2TmCd4In2
_space_group_name_H-M_alt 'A m m 2'
_space_group_IT_number 38
_space_group_name_Hall 'A 2 -2'
_cell_length_a 4.6770
_cell_length_b 12.9732
_cell_length_c 7.6414
_cell_angle_alpha 90.00
_cell_angle_beta 90.00
_cell_angle_gamma 90.00
loop_
_atom_site_label
_atom_site_type_symbol
_atom_site_fract_x
_atom_site_fract_y
_atom_site_fract_z
Nd1 Nd 0.0000 0.2114 0.0000
Tm1 Tm 0.0000 0.0000 0.3618
Cd1 Cd 0.0000 0.0000 0.7745
Cd2 Cd 0.5000 0.0000 0.0240
Cd3 Cd 0.5000 0.1217 0.6645
In1 In 0.5000 0.1627 0.2876
```

Main lines, most intense first (2θ = 5–70°):
2theta	I_rel	h k l
33.3	100	1 2 2
30.5	83	1 3 1
33.6	54	1 4 0
38.5	51	2 0 0
30.2	35	1 0 2
35.9	26	0 1 3
53.7	25	2 1 3
54.1	22	2 5 1
36.3	21	0 4 2
64.6	19	1 1 5

No. 3
# CdInNi2
Computed X-ray diffraction stick pattern, Cu Kα. Input: a structure optimized by DFT (GGA-PBE).

Crystal structure
```
data_CdInNi2
_space_group_name_H-M_alt 'F -4 3 m'
_space_group_IT_number 216
_space_group_name_Hall 'F -4 2 3'
_cell_length_a 6.3025
_cell_length_b 6.3025
_cell_length_c 6.3025
_cell_angle_alpha 90.00
_cell_angle_beta 90.00
_cell_angle_gamma 90.00
loop_
_atom_site_label
_atom_site_type_symbol
_atom_site_fract_x
_atom_site_fract_y
_atom_site_fract_z
Cd1 Cd 0.0000 0.0000 0.0000
In1 In 0.2500 0.2500 0.7500
Ni1 Ni 0.0000 0.0000 0.5000
Ni2 Ni 0.2500 0.2500 0.2500
```

Main lines, most intense first (2θ = 5–70°):
2theta	I_rel	h k l
40.5	100	2 2 0
58.6	16	4 0 0
24.5	10	1 1 1
47.9	5	3 1 1
64.4	2	3 3 1

No. 4
# TaCdInNi
Computed X-ray diffraction stick pattern, Cu Kα. Input: a structure optimized by DFT (GGA-PBE).

Crystal structure
```
data_TaCdInNi
_space_group_name_H-M_alt 'F -4 3 m'
_space_group_IT_number 216
_space_group_name_Hall 'F -4 2 3'
_cell_length_a 6.5731
_cell_length_b 6.5731
_cell_length_c 6.5731
_cell_angle_alpha 90.00
_cell_angle_beta 90.00
_cell_angle_gamma 90.00
loop_
_atom_site_label
_atom_site_type_symbol
_atom_site_fract_x
_atom_site_fract_y
_atom_site_fract_z
Ta1 Ta 0.0000 0.0000 0.0000
Cd1 Cd 0.2500 0.2500 0.7500
In1 In 0.2500 0.2500 0.2500
Ni1 Ni 0.0000 0.0000 0.5000
```

Main lines, most intense first (2θ = 5–70°):
2theta	I_rel	h k l
38.7	100	2 2 0
56.0	17	4 0 0
23.4	13	1 1 1
45.8	7	3 1 1
61.5	3	3 3 1

No. 5
# CdIn2O2
Computed X-ray diffraction stick pattern, Cu Kα. Input: a structure optimized by DFT (GGA-PBE).

Crystal structure
```
data_CdIn2O2
_space_group_name_H-M_alt 'P b c n'
_space_group_IT_number 60
_space_group_name_Hall '-P 2n 2ab'
_cell_length_a 10.1060
_cell_length_b 6.1179
_cell_length_c 6.2455
_cell_angle_alpha 90.00
_cell_angle_beta 90.00
_cell_angle_gamma 90.00
loop_
_atom_site_label
_atom_site_type_symbol
_atom_site_fract_x
_atom_site_fract_y
_atom_site_fract_z
Cd1 Cd 0.0000 0.0256 0.2500
In1 In 0.1507 0.4674 0.5194
O1 O 0.1457 0.1074 0.5090
```

Main lines, most intense first (2θ = 5–70°):
2theta	I_rel	h k l
30.3	100	3 1 0
33.4	84	1 1 2
29.2	64	0 2 0
33.7	34	2 0 2
46.2	33	4 0 2
54.5	29	6 0 0
55.6	29	4 2 2
45.2	21	2 2 2
52.5	19	3 3 0
67.9	16	3 1 4

No. 6
# CdInPO
Computed X-ray diffraction stick pattern, Cu Kα. Input: a structure optimized by DFT (GGA-PBE).

Crystal structure
```
data_CdInPO
_space_group_name_H-M_alt 'P m c 21'
_space_group_IT_number 26
_space_group_name_Hall 'P 2c -2'
_cell_length_a 3.9527
_cell_length_b 6.5161
_cell_length_c 6.3980
_cell_angle_alpha 90.00
_cell_angle_beta 90.00
_cell_angle_gamma 90.00
loop_
_atom_site_label
_atom_site_type_symbol
_atom_site_fract_x
_atom_site_fract_y
_atom_site_fract_z
Cd1 Cd 0.0000 0.1426 0.0000
In1 In 0.5000 0.3202 0.4350
P1 P 0.5000 0.3075 0.8290
O1 O 0.0000 0.1807 0.3533
```

Main lines, most intense first (2θ = 5–70°):
2theta	I_rel	h k l
29.9	100	1 1 1
30.8	55	0 2 1
27.9	52	0 0 2
26.4	51	1 1 0
56.3	43	1 3 2
47.8	33	1 3 0
50.6	31	1 1 3
45.9	26	2 0 0
38.8	23	1 1 2
27.4	21	0 2 0

No. 7
# PrCdInO3
Computed X-ray diffraction stick pattern, Cu Kα. Input: a structure optimized by DFT (GGA-PBE).

Crystal structure
```
data_PrCdInO3
_space_group_name_H-M_alt 'C m c m'
_space_group_IT_number 63
_space_group_name_Hall '-C 2c 2'
_cell_length_a 3.6544
_cell_length_b 14.3381
_cell_length_c 8.3926
_cell_angle_alpha 90.00
_cell_angle_beta 90.00
_cell_angle_gamma 90.00
loop_
_atom_site_label
_atom_site_type_symbol
_atom_site_fract_x
_atom_site_fract_y
_atom_site_fract_z
Pr1 Pr 0.0000 0.0000 0.0000
Cd1 Cd 0.0000 0.3155 0.2500
In1 In 0.0000 0.3403 0.7500
O1 O 0.0000 0.0737 0.2500
O2 O 0.0000 0.3943 0.0291
```

Main lines, most intense first (2θ = 5–70°):
2theta	I_rel	h k l
30.8	100	1 3 0
24.6	86	0 2 2
33.1	50	1 1 2
45.7	45	1 5 2
53.9	39	1 3 4
32.9	23	0 4 2
37.6	23	0 6 0
43.1	23	0 0 4
56.4	17	2 2 2
49.9	15	2 0 0

No. 8
# SrCdIn2Pd
Computed X-ray diffraction stick pattern, Cu Kα. Input: a structure optimized by DFT (GGA-PBE).

Crystal structure
```
data_SrCdIn2Pd
_space_group_name_H-M_alt 'P 4/n m m'
_space_group_IT_number 129
_cell_length_a 4.6523
_cell_length_b 4.6523
_cell_length_c 11.9557
_cell_angle_alpha 90.00
_cell_angle_beta 90.00
_cell_angle_gamma 90.00
loop_
_space_group_symop_operation_xyz
'x,y,z'
'-x,-y,-z'
'-y+1/2,x,z'
'y+1/2,-x,-z'
'-x+1/2,-y+1/2,z'
'x+1/2,y+1/2,-z'
'y,-x+1/2,z'
'-y,x+1/2,-z'
'x+1/2,-y,-z'
'-x+1/2,y,z'
'-y,-x,-z'
'y,x,z'
'-x,y+1/2,-z'
'x,-y+1/2,z'
'y+1/2,x+1/2,-z'
'-y+1/2,-x+1/2,z'
loop_
_atom_site_label
_atom_site_type_symbol
_atom_site_fract_x
_atom_site_fract_y
_atom_site_fract_z
Sr1 Sr 0.2500 0.2500 0.2373
Cd1 Cd 0.2500 0.7500 0.5000
In1 In 0.2500 0.2500 0.6541
In2 In 0.2500 0.7500 0.0000
Pd1 Pd 0.2500 0.2500 0.8773
```

Main lines, most intense first (2θ = 5–70°):
2theta	I_rel	h k l
31.0	100	1 1 2
38.7	63	2 0 0
40.8	43	1 1 4
29.5	33	1 0 3
42.5	23	1 0 5
65.3	22	3 1 2
55.9	21	2 2 0
58.8	18	2 1 5
20.5	16	1 0 1
49.4	16	2 1 3

No. 9
# PrCdInS3
Computed X-ray diffraction stick pattern, Cu Kα. Input: a structure optimized by DFT (GGA-PBE).

Crystal structure
```
data_PrCdInS3
_space_group_name_H-M_alt 'C m c m'
_space_group_IT_number 63
_space_group_name_Hall '-C 2c 2'
_cell_length_a 4.2108
_cell_length_b 13.8591
_cell_length_c 11.0905
_cell_angle_alpha 90.00
_cell_angle_beta 90.00
_cell_angle_gamma 90.00
loop_
_atom_site_label
_atom_site_type_symbol
_atom_site_fract_x
_atom_site_fract_y
_atom_site_fract_z
Pr1 Pr 0.0000 0.0000 0.0000
Cd1 Cd 0.0000 0.4561 0.2500
In1 In 0.0000 0.2585 0.7500
S1 S 0.0000 0.0701 0.2500
S2 S 0.0000 0.3658 0.0551
```

Main lines, most intense first (2θ = 5–70°):
2theta	I_rel	h k l
29.8	100	1 3 1
27.4	77	1 1 2
33.0	69	1 3 2
42.3	65	0 6 2
32.3	59	0 0 4
12.8	58	0 2 0
20.5	36	0 2 2
37.8	35	1 3 3
43.0	33	2 0 0
25.7	33	0 4 0

No. 10
# PrCdInTe3
Computed X-ray diffraction stick pattern, Cu Kα. Input: a structure optimized by DFT (GGA-PBE).

Crystal structure
```
data_PrCdInTe3
_space_group_name_H-M_alt 'P n m a'
_space_group_IT_number 62
_space_group_name_Hall '-P 2ac 2n'
_cell_length_a 11.9662
_cell_length_b 4.5386
_cell_length_c 15.3092
_cell_angle_alpha 90.00
_cell_angle_beta 90.00
_cell_angle_gamma 90.00
loop_
_atom_site_label
_atom_site_type_symbol
_atom_site_fract_x
_atom_site_fract_y
_atom_site_fract_z
Pr1 Pr 0.0167 0.2500 0.2428
Cd1 Cd 0.2363 0.2500 0.7194
In1 In 0.2181 0.7500 0.5098
Te1 Te 0.0402 0.2500 0.6139
Te2 Te 0.0797 0.7500 0.1033
Te3 Te 0.2369 0.7500 0.8367
```

Main lines, most intense first (2θ = 5–70°):
2theta	I_rel	h k l
30.3	100	2 1 3
27.3	94	1 1 3
39.7	39	0 2 0
38.5	34	2 1 5
25.2	32	3 0 2
29.9	31	4 0 0
11.6	27	0 0 2
38.4	25	2 0 6
26.3	23	0 1 3
30.4	23	3 1 1

No. 11
# SrCd2InPt
Computed X-ray diffraction stick pattern, Cu Kα. Input: a structure optimized by DFT (GGA-PBE).

Crystal structure
```
data_SrCd2InPt
_space_group_name_H-M_alt 'I 4 m m'
_space_group_IT_number 107
_space_group_name_Hall 'I 4 -2'
_cell_length_a 4.4407
_cell_length_b 4.4407
_cell_length_c 12.8167
_cell_angle_alpha 90.00
_cell_angle_beta 90.00
_cell_angle_gamma 90.00
loop_
_atom_site_label
_atom_site_type_symbol
_atom_site_fract_x
_atom_site_fract_y
_atom_site_fract_z
Sr1 Sr 0.0000 0.0000 0.0000
Cd1 Cd 0.0000 0.5000 0.2798
In1 In 0.0000 0.0000 0.6245
Pt1 Pt 0.0000 0.0000 0.4184
```

Main lines, most intense first (2θ = 5–70°):
2theta	I_rel	h k l
40.6	100	2 0 0
31.7	94	1 1 2
40.2	56	1 1 4
58.8	48	2 2 0
21.2	41	1 0 1
29.0	28	1 0 3
68.4	20	3 1 2
13.8	18	0 0 2
60.1	14	2 0 6
50.7	12	2 1 3

No. 12
# Rb2CdIn
Computed X-ray diffraction stick pattern, Cu Kα. Input: a structure optimized by DFT (GGA-PBE).

Crystal structure
```
data_Rb2CdIn
_space_group_name_H-M_alt 'P m m a'
_space_group_IT_number 51
_space_group_name_Hall '-P 2a 2a'
_cell_length_a 5.4956
_cell_length_b 6.2647
_cell_length_c 8.8523
_cell_angle_alpha 90.00
_cell_angle_beta 90.00
_cell_angle_gamma 90.00
loop_
_atom_site_label
_atom_site_type_symbol
_atom_site_fract_x
_atom_site_fract_y
_atom_site_fract_z
Rb1 Rb 0.2500 0.0000 0.1360
Rb2 Rb 0.2500 0.5000 0.3615
Cd1 Cd 0.2500 0.5000 0.9064
In1 In 0.2500 0.0000 0.5865
```

Main lines, most intense first (2θ = 5–70°):
2theta	I_rel	h k l
29.6	100	1 1 2
28.5	31	0 2 0
32.6	22	2 0 0
51.1	21	1 3 2
43.8	19	2 2 0
56.3	16	3 1 2
17.3	9	0 1 1
61.4	8	2 2 4
50.5	7	0 2 4
40.8	7	0 0 4

No. 13
# CdIn2SeS3
Computed X-ray diffraction stick pattern, Cu Kα. Input: a structure optimized by DFT (GGA-PBE).

Crystal structure
```
data_CdIn2SeS3
_space_group_name_H-M_alt 'P 1'
_space_group_IT_number 1
_space_group_name_Hall 'P 1'
_cell_length_a 5.7963
_cell_length_b 5.8400
_cell_length_c 6.9335
_cell_angle_alpha 113.95
_cell_angle_beta 113.94
_cell_angle_gamma 90.74
loop_
_atom_site_label
_atom_site_type_symbol
_atom_site_fract_x
_atom_site_fract_y
_atom_site_fract_z
Cd1 Cd 0.0000 0.0000 0.0000
In1 In 0.2409 0.7447 0.4928
In2 In 0.4943 0.5028 0.9970
Se1 Se 0.6257 0.1387 0.7123
S1 S 0.1077 0.6032 0.7347
S2 S 0.3929 0.3794 0.2644
S3 S 0.8623 0.8845 0.2642
```

Main lines, most intense first (2θ = 5–70°):
2theta	I_rel	h k l
26.7	100	1 -1 1
44.3	27	0 2 1
27.1	26	1 1 -2
44.9	25	2 0 -3
17.2	15	0 1 -1
43.7	14	2 -2 0
44.6	14	2 0 1
52.1	12	3 -1 0
28.3	11	0 1 -2
17.2	10	1 0 -1